No. 1
For LiVF4, a cell relaxed with GGA+U gives the calculated PXRD pattern in this record (Cu Kα X-rays).

Structure:
Cell: 11.1752 15.4621 3.9756 Å, 90.00 90.00 90.00°
Space group Pmmn (No. 59, origin choice 2)
Unique sites:
Li (0.0000, 0.0000, 0.0000)
Li (0.2500, 0.1036, 0.4846)
V (0.0172, 0.2500, 0.2172)
V (0.2500, 0.5817, 0.7388)
F (0.0144, 0.2500, 0.7180)
F (0.1172, 0.6637, 0.7756)
F (0.1260, 0.1545, 0.2201)
F (0.1303, 0.0119, 0.7143)
F (0.2500, 0.5780, 0.2398)

Top 10 peaks for 2θ from 10° to 90°, by intensity:
hkl	two_theta	d (Å)	I (rel.)
2 2 0	19.6	4.529	100
0 1 1	23.1	3.851	71
2 4 0	28.1	3.179	40
4 6 0	48.0	1.894	39
1 3 0	19.0	4.680	35
0 0 2	45.6	1.988	21
4 5 1	49.6	1.838	20
4 6 2	68.4	1.371	19
1 2 1	26.4	3.371	16
2 3 1	32.7	2.743	16

=====

No. 2
For Mn8O17, a cell relaxed with GGA+U gives the calculated PXRD pattern in this record (Cu Kα X-rays).

Structure:
Cell: 5.8347 7.1634 7.1790 Å, 87.60 78.37 78.13°
Space group P-1 (No. 2)
Unique sites:
Mn (0.0753, 0.0160, 0.1820)
Mn (0.1670, 0.3175, 0.5147)
Mn (0.3333, 0.6823, 0.4845)
Mn (0.4241, 0.9852, 0.8181)
O (0.0217, 0.7936, 0.6216)
O (0.1473, 0.5482, 0.3599)
O (0.1678, 0.1216, 0.7064)
O (0.1732, 0.8596, 0.9528)
O (0.3277, 0.1409, 0.0478)
O (0.3325, 0.8777, 0.2923)
O (0.3518, 0.4525, 0.6401)
O (0.4792, 0.2063, 0.3783)
O (0.5000, 0.5000, 0.0000)

Top 10 peaks for 2θ from 10° to 90°, by intensity:
hkl	two_theta	d (Å)	I (rel.)
0 1 0	12.6	7.021	100
0 1 -1	17.9	4.964	89
0 2 -1	28.4	3.140	71
2 2 1	36.9	2.439	70
2 2 3	49.0	1.858	27
2 4 -1	59.2	1.560	25
0 2 2	36.2	2.482	25
0 3 3	55.5	1.655	22
2 2 2	41.2	2.190	17
2 -2 2	49.1	1.855	16